Entry 1:
Theoretical powder diffractogram
Compound: Pm4Y3Tm3
Radiation: CuKα
Structure: DFT lattice parameters and positions (PBE)
Intensities are scaled so that the largest is 100.

Atomic structure:
```
data_Pm4Y3Tm3
_symmetry_space_group_name_H-M 'A m m 2'
_symmetry_Int_Tables_number 38
_symmetry_space_group_name_Hall 'A 2 -2'
_cell_length_a 3.7859
_cell_length_b 13.1424
_cell_length_c 13.1358
_cell_angle_alpha 90.00
_cell_angle_beta 90.00
_cell_angle_gamma 90.00
loop_
_atom_site_label
_atom_site_fract_x
_atom_site_fract_y
_atom_site_fract_z
Pm1 0.0000 0.0000 0.0000
Pm2 0.0000 0.0000 0.2596
Pm3 0.0000 0.1310 0.6321
Y1 0.0000 0.2493 0.8805
Y2 0.5000 0.0000 0.4621
Tm1 0.5000 0.0000 0.7992
Tm2 0.5000 0.1683 0.1303
```

Largest 8 diffraction maxima, by intensity, 2θ from 15° to 90°:
| 2theta | d (Å) | I_rel |
| --- | --- | --- |
| 31.98 | 2.798 | 100 |
| 30.43 | 2.937 | 62 |
| 58.82 | 1.570 | 19 |
| 57.95 | 1.591 | 16 |
| 56.01 | 1.642 | 15 |
| 48.05 | 1.894 | 14 |
| 38.78 | 2.322 | 13 |
| 46.92 | 1.936 | 12 |

=====

Entry 2:
Theoretical powder diffractogram
Compound: Pm6Y16Tm7
Radiation: CuKα
Structure: DFT lattice parameters and positions (PBE)
Intensities are scaled so that the largest is 100.

Atomic structure:
```
data_Pm6Y16Tm7
_symmetry_space_group_name_H-M 'F m -3 m'
_symmetry_Int_Tables_number 225
_symmetry_space_group_name_Hall '-F 4 2 3'
_cell_length_a 15.8116
_cell_length_b 15.8116
_cell_length_c 15.8116
_cell_angle_alpha 90.00
_cell_angle_beta 90.00
_cell_angle_gamma 90.00
loop_
_atom_site_label
_atom_site_fract_x
_atom_site_fract_y
_atom_site_fract_z
Pm1 0.0000 0.0000 0.2159
Y1 0.1211 0.1211 0.3789
Y2 0.1546 0.1546 0.1546
Tm1 0.0000 0.0000 0.5000
Tm2 0.0000 0.2500 0.2500
```

Largest 8 diffraction maxima, by intensity, 2θ from 15° to 90°:
| 2theta | d (Å) | I_rel |
| --- | --- | --- |
| 32.02 | 2.795 | 100 |
| 57.07 | 1.614 | 22 |
| 29.35 | 3.043 | 22 |
| 45.92 | 1.976 | 13 |
| 43.99 | 2.058 | 12 |
| 27.64 | 3.228 | 11 |
| 60.58 | 1.529 | 10 |
| 70.47 | 1.336 | 7 |

=====

Entry 3:
Theoretical powder diffractogram
Compound: Pm12Y7Tm
Radiation: CuKα
Structure: DFT lattice parameters and positions (PBE)
Intensities are scaled so that the largest is 100.

Atomic structure:
```
data_Pm12Y7Tm
_symmetry_space_group_name_H-M 'R -3'
_symmetry_Int_Tables_number 148
_symmetry_space_group_name_Hall '-R 3'
_cell_length_a 18.8499
_cell_length_b 18.8499
_cell_length_c 6.7895
_cell_angle_alpha 90.00
_cell_angle_beta 90.00
_cell_angle_gamma 120.00
loop_
_atom_site_label
_atom_site_fract_x
_atom_site_fract_y
_atom_site_fract_z
Pm1 0.9995 0.2111 0.2158
Pm2 0.0057 0.4706 0.2432
Y1 0.0000 0.0000 0.0000
Y2 0.0065 0.8522 0.2786
Tm1 0.0000 0.0000 0.5000
```

Largest 8 diffraction maxima, by intensity, 2θ from 15° to 90°:
| 2theta | d (Å) | I_rel |
| --- | --- | --- |
| 32.94 | 2.719 | 100 |
| 30.04 | 2.974 | 80 |
| 27.19 | 3.279 | 60 |
| 40.93 | 2.205 | 51 |
| 28.43 | 3.140 | 30 |
| 25.00 | 3.562 | 29 |
| 59.09 | 1.563 | 28 |
| 35.70 | 2.515 | 27 |

=====

Entry 4:
Theoretical powder diffractogram
Compound: Pm3Y2Tm8
Radiation: CuKα
Structure: DFT lattice parameters and positions (PBE)
Intensities are scaled so that the largest is 100.

Atomic structure:
```
data_Pm3Y2Tm8
_symmetry_space_group_name_H-M 'P -1'
_symmetry_Int_Tables_number 2
_symmetry_space_group_name_Hall '-P 1'
_cell_length_a 6.1332
_cell_length_b 6.1344
_cell_length_c 11.1805
_cell_angle_alpha 89.94
_cell_angle_beta 79.43
_cell_angle_gamma 80.39
loop_
_atom_site_label
_atom_site_fract_x
_atom_site_fract_y
_atom_site_fract_z
Pm1 0.0000 0.0000 0.0000
Pm2 0.2307 0.4621 0.0786
Y1 0.3831 0.7698 0.4620
Tm1 0.0772 0.1537 0.6905
Tm2 0.1526 0.3079 0.3855
Tm3 0.3083 0.6144 0.7670
Tm4 0.4622 0.9247 0.1563
```

Largest 8 diffraction maxima, by intensity, 2θ from 15° to 90°:
| 2theta | d (Å) | I_rel |
| --- | --- | --- |
| 35.88 | 2.503 | 100 |
| 30.92 | 2.892 | 100 |
| 30.97 | 2.888 | 99 |
| 51.64 | 1.770 | 59 |
| 61.41 | 1.510 | 49 |
| 61.48 | 1.508 | 35 |
| 87.05 | 1.119 | 25 |
| 84.30 | 1.149 | 23 |

=====

Entry 5:
Theoretical powder diffractogram
Compound: PmY3Tm4
Radiation: CuKα
Structure: DFT lattice parameters and positions (PBE)
Intensities are scaled so that the largest is 100.

Atomic structure:
```
data_PmY3Tm4
_symmetry_space_group_name_H-M 'P m n 21'
_symmetry_Int_Tables_number 31
_symmetry_space_group_name_Hall 'P 2ac -2'
_cell_length_a 11.2118
_cell_length_b 7.2504
_cell_length_c 6.2535
_cell_angle_alpha 90.00
_cell_angle_beta 90.00
_cell_angle_gamma 90.00
loop_
_atom_site_label
_atom_site_fract_x
_atom_site_fract_y
_atom_site_fract_z
Pm1 0.0000 0.1285 0.0000
Y1 0.0000 0.8724 0.4988
Y2 0.2505 0.1279 0.3362
Tm1 0.0000 0.3780 0.5038
Tm2 0.0000 0.6214 0.0033
Tm3 0.2491 0.6220 0.3350
```

Largest 8 diffraction maxima, by intensity, 2θ from 15° to 90°:
| 2theta | d (Å) | I_rel |
| --- | --- | --- |
| 32.74 | 2.735 | 100 |
| 28.49 | 3.133 | 24 |
| 31.93 | 2.803 | 24 |
| 57.42 | 1.605 | 20 |
| 43.31 | 2.089 | 17 |
| 61.01 | 1.519 | 15 |
| 50.51 | 1.807 | 13 |
| 61.39 | 1.510 | 11 |

=====

Entry 6:
Theoretical powder diffractogram
Compound: Pm7YTm3
Radiation: CuKα
Structure: DFT lattice parameters and positions (PBE)
Intensities are scaled so that the largest is 100.

Atomic structure:
```
data_Pm7YTm3
_symmetry_space_group_name_H-M 'P 1 2/m 1'
_symmetry_Int_Tables_number 10
_symmetry_space_group_name_Hall '-P 2y'
_cell_length_a 7.0837
_cell_length_b 5.6230
_cell_length_c 9.9608
_cell_angle_alpha 90.00
_cell_angle_beta 110.26
_cell_angle_gamma 90.00
loop_
_atom_site_label
_atom_site_fract_x
_atom_site_fract_y
_atom_site_fract_z
Pm1 0.0000 0.0000 0.0000
Pm2 0.1478 0.5000 0.2923
Pm3 0.3221 0.5000 0.6408
Pm4 0.4194 0.0000 0.8298
Y1 0.0000 0.0000 0.5000
Tm1 0.2788 0.5000 0.9982
Tm2 0.5000 0.0000 0.5000
```

Largest 8 diffraction maxima, by intensity, 2θ from 15° to 90°:
| 2theta | d (Å) | I_rel |
| --- | --- | --- |
| 31.45 | 2.845 | 100 |
| 31.27 | 2.860 | 91 |
| 31.84 | 2.811 | 87 |
| 32.87 | 2.725 | 68 |
| 56.40 | 1.631 | 31 |
| 31.55 | 2.836 | 20 |
| 57.36 | 1.606 | 18 |
| 61.93 | 1.498 | 18 |

=====

Entry 7:
Theoretical powder diffractogram
Compound: PmY2Tm12
Radiation: CuKα
Structure: DFT lattice parameters and positions (PBE)
Intensities are scaled so that the largest is 100.

Atomic structure:
```
data_PmY2Tm12
_symmetry_space_group_name_H-M 'P -1'
_symmetry_Int_Tables_number 2
_symmetry_space_group_name_Hall '-P 1'
_cell_length_a 3.5264
_cell_length_b 5.5413
_cell_length_c 23.9615
_cell_angle_alpha 84.69
_cell_angle_beta 85.83
_cell_angle_gamma 89.95
loop_
_atom_site_label
_atom_site_fract_x
_atom_site_fract_y
_atom_site_fract_z
Pm1 0.0000 0.0000 0.0000
Y1 0.1337 0.1102 0.7217
Tm1 0.0923 0.5757 0.8086
Tm2 0.2224 0.6814 0.5461
Tm3 0.3032 0.8402 0.4051
Tm4 0.3430 0.3719 0.3242
Tm5 0.4317 0.9422 0.1452
Tm6 0.4669 0.4733 0.0672
```

Largest 8 diffraction maxima, by intensity, 2θ from 15° to 90°:
| 2theta | d (Å) | I_rel |
| --- | --- | --- |
| 32.23 | 2.777 | 100 |
| 32.32 | 2.770 | 51 |
| 32.86 | 2.726 | 47 |
| 30.47 | 2.934 | 34 |
| 32.00 | 2.797 | 33 |
| 62.38 | 1.489 | 24 |
| 35.37 | 2.537 | 22 |
| 59.37 | 1.557 | 17 |

=====

Entry 8:
Theoretical powder diffractogram
Compound: Pm6Y8Tm
Radiation: CuKα
Structure: DFT lattice parameters and positions (PBE)
Intensities are scaled so that the largest is 100.

Atomic structure:
```
data_Pm6Y8Tm
_symmetry_space_group_name_H-M 'P -3'
_symmetry_Int_Tables_number 147
_symmetry_space_group_name_Hall '-P 3'
_cell_length_a 9.7416
_cell_length_b 9.7416
_cell_length_c 6.1524
_cell_angle_alpha 90.00
_cell_angle_beta 90.00
_cell_angle_gamma 120.00
loop_
_atom_site_label
_atom_site_fract_x
_atom_site_fract_y
_atom_site_fract_z
Pm1 0.0894 0.4547 0.1983
Y1 0.0391 0.2710 0.6956
Y2 0.3333 0.6667 0.6837
Tm1 0.0000 0.0000 0.0000
```

Largest 8 diffraction maxima, by intensity, 2θ from 15° to 90°:
| 2theta | d (Å) | I_rel |
| --- | --- | --- |
| 31.60 | 2.831 | 100 |
| 27.98 | 3.189 | 25 |
| 49.51 | 1.841 | 19 |
| 34.48 | 2.601 | 18 |
| 40.76 | 2.214 | 17 |
| 59.95 | 1.543 | 17 |
| 25.60 | 3.479 | 16 |
| 29.03 | 3.076 | 14 |

=====

Entry 9:
Theoretical powder diffractogram
Compound: Pm7YTm3
Radiation: CuKα
Structure: DFT lattice parameters and positions (PBE)
Intensities are scaled so that the largest is 100.

Atomic structure:
```
data_Pm7YTm3
_symmetry_space_group_name_H-M 'C 1 2/m 1'
_symmetry_Int_Tables_number 12
_symmetry_space_group_name_Hall '-C 2y'
_cell_length_a 12.7427
_cell_length_b 11.3056
_cell_length_c 5.8594
_cell_angle_alpha 90.00
_cell_angle_beta 117.31
_cell_angle_gamma 90.00
loop_
_atom_site_label
_atom_site_fract_x
_atom_site_fract_y
_atom_site_fract_z
Pm1 0.0000 0.0000 0.0000
Pm2 0.1937 0.2909 0.6935
Pm3 0.2074 0.5000 0.2059
Y1 0.0000 0.0000 0.5000
Tm1 0.0000 0.2957 0.0000
Tm2 0.0000 0.5000 0.5000
```

Largest 8 diffraction maxima, by intensity, 2θ from 15° to 90°:
| 2theta | d (Å) | I_rel |
| --- | --- | --- |
| 32.36 | 2.766 | 100 |
| 30.51 | 2.930 | 35 |
| 31.64 | 2.828 | 27 |
| 55.41 | 1.658 | 22 |
| 44.53 | 2.035 | 21 |
| 61.75 | 1.502 | 12 |
| 24.89 | 3.577 | 11 |
| 28.13 | 3.172 | 11 |

=====

Entry 10:
Theoretical powder diffractogram
Compound: Pm10Y4Tm
Radiation: CuKα
Structure: DFT lattice parameters and positions (PBE)
Intensities are scaled so that the largest is 100.

Atomic structure:
```
data_Pm10Y4Tm
_symmetry_space_group_name_H-M 'I 4/m'
_symmetry_Int_Tables_number 87
_symmetry_space_group_name_Hall '-I 4'
_cell_length_a 12.3538
_cell_length_b 12.3538
_cell_length_c 7.7952
_cell_angle_alpha 90.00
_cell_angle_beta 90.00
_cell_angle_gamma 90.00
loop_
_atom_site_label
_atom_site_fract_x
_atom_site_fract_y
_atom_site_fract_z
Pm1 0.0000 0.5000 0.2500
Pm2 0.0989 0.1988 0.2483
Y1 0.1004 0.7007 0.5000
Tm1 0.0000 0.0000 0.0000
```

Largest 8 diffraction maxima, by intensity, 2θ from 15° to 90°:
| 2theta | d (Å) | I_rel |
| --- | --- | --- |
| 32.44 | 2.760 | 100 |
| 57.86 | 1.594 | 38 |
| 22.78 | 3.904 | 27 |
| 19.70 | 4.507 | 17 |
| 46.49 | 1.953 | 12 |
| 67.92 | 1.380 | 12 |
| 38.23 | 2.354 | 9 |
| 40.01 | 2.254 | 8 |

=====

Entry 11:
Theoretical powder diffractogram
Compound: Pm3Y8Tm2
Radiation: CuKα
Structure: DFT lattice parameters and positions (PBE)
Intensities are scaled so that the largest is 100.

Atomic structure:
```
data_Pm3Y8Tm2
_symmetry_space_group_name_H-M 'P -1'
_symmetry_Int_Tables_number 2
_symmetry_space_group_name_Hall '-P 1'
_cell_length_a 6.1931
_cell_length_b 6.1963
_cell_length_c 11.3007
_cell_angle_alpha 89.95
_cell_angle_beta 79.52
_cell_angle_gamma 80.44
loop_
_atom_site_label
_atom_site_fract_x
_atom_site_fract_y
_atom_site_fract_z
Pm1 0.0000 0.0000 0.0000
Pm2 0.3858 0.7685 0.4617
Y1 0.0762 0.1561 0.6941
Y2 0.1540 0.3075 0.3836
Y3 0.3087 0.6165 0.7715
Y4 0.4596 0.9218 0.1519
Tm1 0.2301 0.4619 0.0754
```

Largest 8 diffraction maxima, by intensity, 2θ from 15° to 90°:
| 2theta | d (Å) | I_rel |
| --- | --- | --- |
| 30.61 | 2.921 | 100 |
| 35.50 | 2.529 | 99 |
| 30.63 | 2.918 | 98 |
| 51.09 | 1.788 | 70 |
| 60.72 | 1.525 | 48 |
| 60.77 | 1.524 | 34 |
| 85.99 | 1.130 | 21 |
| 83.25 | 1.161 | 19 |

=====

Entry 12:
Theoretical powder diffractogram
Compound: Pm3Y7Tm
Radiation: CuKα
Structure: DFT lattice parameters and positions (PBE)
Intensities are scaled so that the largest is 100.

Atomic structure:
```
data_Pm3Y7Tm
_symmetry_space_group_name_H-M 'I m m m'
_symmetry_Int_Tables_number 71
_symmetry_space_group_name_Hall '-I 2 2'
_cell_length_a 5.8668
_cell_length_b 11.1599
_cell_length_c 11.3131
_cell_angle_alpha 90.00
_cell_angle_beta 90.00
_cell_angle_gamma 90.00
loop_
_atom_site_label
_atom_site_fract_x
_atom_site_fract_y
_atom_site_fract_z
Pm1 0.0000 0.0000 0.0000
Pm2 0.0000 0.5000 0.2878
Y1 0.0000 0.2002 0.2017
Y2 0.0000 0.2938 0.5000
Y3 0.0000 0.5000 0.0000
Tm1 0.0000 0.0000 0.5000
```

Largest 8 diffraction maxima, by intensity, 2θ from 15° to 90°:
| 2theta | d (Å) | I_rel |
| --- | --- | --- |
| 32.60 | 2.746 | 100 |
| 30.47 | 2.933 | 63 |
| 32.47 | 2.758 | 58 |
| 23.25 | 3.825 | 37 |
| 55.49 | 1.656 | 34 |
| 31.64 | 2.828 | 29 |
| 32.08 | 2.790 | 28 |
| 44.83 | 2.022 | 22 |